Theoretical X-ray diffraction stick pattern
Compound: Li2VOF4
Radiation: Cu Kα
Structure: a DFT-relaxed cell (GGA+U, Alexandria)

Crystal structure
```
data_Li2VOF4
_space_group_name_H-M_alt 'P n a 21'
_space_group_IT_number 33
_cell_length_a 7.0228
_cell_length_b 10.8950
_cell_length_c 5.0431
_cell_angle_alpha 90.00
_cell_angle_beta 90.00
_cell_angle_gamma 90.00
loop_
_space_group_symop_operation_xyz
'x,y,z'
'-x,-y,z+1/2'
'-x+1/2,y+1/2,z+1/2'
'x+1/2,-y+1/2,z'
loop_
_atom_site_label
_atom_site_type_symbol
_atom_site_fract_x
_atom_site_fract_y
_atom_site_fract_z
Li1 Li 0.1441 0.2367 0.0000
Li2 Li 0.1544 0.9604 0.1499
V1 V 0.1738 0.5698 0.0971
O1 O 0.2235 0.1388 0.3407
F1 F 0.0856 0.4565 0.4638
F2 F 0.0965 0.7065 0.3135
F3 F 0.0976 0.0626 0.8266
F4 F 0.2302 0.4040 0.9884
```

Most intense lines, 5° ≤ 2θ ≤ 70°, most intense first:
two_theta  I (rel.)
23.20  100.0
16.27  77.6
20.64  55.9
15.01  42.0
30.32  34.9
43.42  32.2
19.40  28.7
51.21  27.9